[1]
CeHoMgPt: calculated powder XRD pattern (Cu Kα (weighted mean of Kα1 and Kα2)), based on the GGA-PBE geometry in Alexandria.

Principal peaks in the range 2θ = 15–90°, in order of falling intensity:
index, d (Å), 2θ/deg, I/Imax
2 2 0, 2.565, 34.98, 100
4 2 2, 1.481, 62.73, 37
1 1 1, 4.189, 21.21, 24
4 0 0, 1.814, 50.30, 18
6 2 0, 1.147, 84.44, 16
3 1 1, 2.188, 41.26, 13
4 4 0, 1.283, 73.88, 11
3 3 1, 1.665, 55.18, 6
5 1 1, 1.396, 67.02, 4
5 3 1, 1.227, 77.89, 4

Structural model:
```
16
Lattice="7.2561 0.0000 0.0000 0.0000 7.2561 0.0000 0.0000 0.0000 7.2561" Properties=species:S:1:pos:R:3 pbc="T T T"
Ce 0.0000 0.0000 0.0000
Ce 0.0000 3.6281 3.6281
Ce 3.6281 0.0000 3.6281
Ce 3.6281 3.6281 0.0000
Ho 0.0000 0.0000 3.6281
Ho 0.0000 3.6281 0.0000
Ho 3.6281 0.0000 0.0000
Ho 3.6281 3.6281 3.6281
Mg 1.8140 1.8140 1.8140
Mg 1.8140 5.4421 5.4421
Mg 5.4421 1.8140 5.4421
Mg 5.4421 5.4421 1.8140
Pt 1.8140 1.8140 5.4421
Pt 1.8140 5.4421 1.8140
Pt 5.4421 1.8140 1.8140
Pt 5.4421 5.4421 5.4421
```

---

[2]
Ce2HoMnN5: calculated powder XRD pattern (Cu Kα (weighted mean of Kα1 and Kα2)), based on the GGA-PBE geometry in Alexandria.

Principal peaks in the range 2θ = 15–90°, in order of falling intensity:
index, d (Å), 2θ/deg, I/Imax
0 0 2, 2.817, 31.76, 100
2 1 1, 2.586, 34.69, 42
2 1 2, 2.024, 44.78, 27
1 1 1, 3.564, 24.99, 26
3 1 0, 2.058, 43.99, 19
2 1 0, 2.911, 30.71, 17
2 2 0, 2.301, 39.14, 16
2 0 3, 1.626, 56.60, 14
2 2 2, 1.782, 51.27, 14
3 1 2, 1.662, 55.28, 13

Structural model:
```
18
Lattice="6.5094 0.0000 0.0000 0.0000 6.5094 0.0000 0.0000 0.0000 5.6315" Properties=species:S:1:pos:R:3 pbc="T T T"
Ce 1.0922 2.1625 0.0000
Ce 2.1625 5.4172 0.0000
Ce 4.3469 1.0922 0.0000
Ce 5.4172 4.3469 0.0000
Ho 0.0000 0.0000 2.8157
Ho 3.2547 3.2547 2.8157
Mn 0.0000 3.2547 2.8157
Mn 3.2547 0.0000 2.8157
N 0.0000 0.0000 0.0000
N 0.9459 4.2006 1.5459
N 0.9459 4.2006 4.0856
N 2.3088 0.9459 1.5459
N 2.3088 0.9459 4.0856
N 3.2547 3.2547 0.0000
N 4.2006 5.5635 1.5459
N 4.2006 5.5635 4.0856
N 5.5635 2.3088 1.5459
N 5.5635 2.3088 4.0856
```

---

[3]
CeHo2N3: calculated powder XRD pattern (Cu Kα (weighted mean of Kα1 and Kα2)), based on the GGA-PBE geometry in Alexandria.

Principal peaks in the range 2θ = 15–90°, in order of falling intensity:
index, d (Å), 2θ/deg, I/Imax
1 1 0, 2.847, 31.42, 100
1 0 3, 2.466, 36.44, 72
2 0 0, 1.743, 52.49, 50
2 1 3, 1.488, 62.43, 30
2 2 0, 1.423, 65.58, 17
3 0 3, 1.103, 88.66, 15
1 3 0, 1.485, 62.54, 15
2 3 3, 1.131, 85.95, 13
1 4 3, 1.101, 88.84, 8
3 1 0, 1.132, 85.85, 6

Structural model:
```
12
Lattice="3.4905 0.0000 0.0000 0.0000 4.9236 0.0000 0.0000 0.0000 10.4655" Properties=species:S:1:pos:R:3 pbc="T T T"
Ce 0.0000 0.0000 0.0000
Ce 1.7453 2.4618 5.2327
Ho 0.0000 0.0000 3.4814
Ho 0.0000 0.0000 6.9841
Ho 1.7453 2.4618 1.7513
Ho 1.7453 2.4618 8.7141
N 0.0000 2.4618 0.0000
N 0.0000 2.4618 3.4852
N 0.0000 2.4618 6.9803
N 1.7453 0.0000 1.7475
N 1.7453 0.0000 5.2327
N 1.7453 0.0000 8.7179
```

---

[4]
Ce2Ho4N: calculated powder XRD pattern (Cu Kα (weighted mean of Kα1 and Kα2)), based on the GGA-PBE geometry in Alexandria.

Principal peaks in the range 2θ = 15–90°, in order of falling intensity:
index, d (Å), 2θ/deg, I/Imax
1 1 4, 2.675, 33.51, 100
1 1 2, 3.126, 28.56, 87
2 0 0, 2.359, 38.15, 67
1 0 5, 2.852, 31.37, 39
2 0 6, 1.850, 49.25, 32
0 0 6, 2.984, 29.95, 32
3 1 4, 1.415, 66.01, 29
2 2 0, 1.668, 55.06, 23
2 1 5, 1.818, 50.19, 21
3 1 2, 1.471, 63.19, 19

Structural model:
```
14
Lattice="4.7174 0.0000 0.0000 0.0000 4.7174 0.0000 0.0000 0.0000 17.9013" Properties=species:S:1:pos:R:3 pbc="T T T"
Ce 0.0000 0.0000 3.2297
Ce 0.0000 0.0000 14.6717
Ce 2.3587 2.3587 5.7210
Ce 2.3587 2.3587 12.1803
Ho 0.0000 0.0000 6.5961
Ho 0.0000 0.0000 11.3052
Ho 0.0000 2.3587 0.0000
Ho 0.0000 2.3587 8.9507
Ho 2.3587 0.0000 0.0000
Ho 2.3587 0.0000 8.9507
Ho 2.3587 2.3587 2.3545
Ho 2.3587 2.3587 15.5468
N 0.0000 0.0000 8.9507
N 2.3587 2.3587 0.0000
```

---

[5]
CeHoThN3: calculated powder XRD pattern (Cu Kα (weighted mean of Kα1 and Kα2)), based on the GGA-PBE geometry in Alexandria.

Principal peaks in the range 2θ = 15–90°, in order of falling intensity:
index, d (Å), 2θ/deg, I/Imax
2 0 0, 2.983, 29.95, 100
1 1 -2, 2.563, 35.01, 68
1 0 3, 2.773, 32.29, 64
1 0 -3, 2.894, 30.90, 64
1 1 1, 2.824, 31.68, 51
0 1 5, 1.682, 54.55, 44
1 1 2, 2.505, 35.85, 37
2 1 -5, 1.494, 62.14, 29
0 1 2, 2.798, 31.99, 26
3 1 -2, 1.645, 55.90, 25

Structural model:
```
12
Lattice="5.9776 0.0000 0.0000 0.0000 3.4342 0.0000 -0.4954 0.0000 9.6479" Properties=species:S:1:pos:R:3 pbc="T T T"
Ce 1.1680 0.8586 1.1471
Ce 4.3143 2.5757 8.5008
Ho 1.2357 2.5757 4.2611
Ho 4.2466 0.8586 5.3868
Th 1.2310 0.8586 7.2935
Th 4.2512 2.5757 2.3544
N -0.2507 2.5757 6.2579
N 0.8200 2.5757 9.1354
N 2.7398 0.8586 3.3074
N 2.7424 2.5757 6.3405
N 4.6623 0.8586 0.5125
N 5.7330 0.8586 3.3900
```

---

[6]
CeHo2UN4: calculated powder XRD pattern (Cu Kα (weighted mean of Kα1 and Kα2)), based on the GGA-PBE geometry in Alexandria.

Principal peaks in the range 2θ = 15–90°, in order of falling intensity:
index, d (Å), 2θ/deg, I/Imax
1 1 2, 2.837, 31.54, 100
2 0 0, 2.457, 36.57, 69
2 2 0, 1.737, 52.69, 48
3 1 2, 1.482, 62.67, 30
2 2 4, 1.419, 65.84, 16
4 2 0, 1.099, 89.05, 15
1 1 6, 1.480, 62.79, 15
3 1 6, 1.127, 86.33, 13
2 0 8, 1.098, 89.24, 7
3 3 2, 1.128, 86.22, 7

Structural model:
```
16
Lattice="4.9179 0.0000 0.0000 0.0000 4.9179 0.0000 0.0000 0.0000 9.8117" Properties=species:S:1:pos:R:3 pbc="T T T"
Ce 0.0000 0.0000 0.0000
Ce 2.4589 2.4589 4.9059
Ho 0.0000 0.0000 4.9059
Ho 0.0000 2.4589 2.4529
Ho 2.4589 0.0000 7.3588
Ho 2.4589 2.4589 0.0000
U 0.0000 2.4589 7.3588
U 2.4589 0.0000 2.4529
N 0.0000 0.0000 2.4801
N 0.0000 0.0000 7.3316
N 0.0000 2.4589 5.0515
N 0.0000 2.4589 9.6661
N 2.4589 0.0000 0.1457
N 2.4589 0.0000 4.7602
N 2.4589 2.4589 2.4257
N 2.4589 2.4589 7.3860
```